For Sc2SiB2Ir5, a cell relaxed with GGA-PBE gives the theoretical powder XRD pattern in this record (Cu Kα).

Principal peaks in the range 10° ≤ 2θ ≤ 80°, sorted by position:
3.128 Å, 2θ = 28.53°, I 100.0
2.926 Å, 2θ = 30.55°, I 49.9
2.566 Å, 2θ = 34.97°, I 48.3
2.495 Å, 2θ = 35.99°, I 46.7
2.244 Å, 2θ = 40.19°, I 79.9
2.137 Å, 2θ = 42.30°, I 92.7
2.069 Å, 2θ = 43.76°, I 37.7
1.984 Å, 2θ = 45.73°, I 58.2
1.823 Å, 2θ = 50.02°, I 47.0
1.207 Å, 2θ = 79.38°, I 40.4

Crystal structure
```
20
Lattice="9.252 0.000 0.000 0.000 9.252 0.000 0.000 0.000 3.128" Properties=species:S:1:pos:R:3 pbc="T T T"
Sc 1.624 3.002 0.000
Sc 3.002 7.629 0.000
Sc 6.250 1.624 0.000
Sc 7.629 6.250 0.000
Si 0.000 0.000 0.000
Si 4.626 4.626 0.000
B 1.149 5.775 0.000
B 3.477 1.149 0.000
B 5.775 8.103 0.000
B 8.103 3.477 0.000
Ir 0.000 4.626 1.564
Ir 0.648 7.285 1.564
Ir 1.967 0.648 1.564
Ir 2.659 5.274 1.564
Ir 3.978 2.659 1.564
Ir 4.626 0.000 1.564
Ir 5.274 6.593 1.564
Ir 6.593 3.978 1.564
Ir 7.285 8.604 1.564
Ir 8.604 1.967 1.564
```

For Y2Mg3In2, a cell relaxed with GGA-PBE gives the theoretical powder XRD pattern in this record (Cu Kα).

Principal peaks in the range 10° ≤ 2θ ≤ 80°, sorted by position:
2.963 Å, 2θ = 30.16°, I 32.4
2.796 Å, 2θ = 32.02°, I 60.6
2.631 Å, 2θ = 34.08°, I 84.9
2.616 Å, 2θ = 34.28°, I 100.0
2.539 Å, 2θ = 35.36°, I 28.1
2.374 Å, 2θ = 37.90°, I 43.7
2.357 Å, 2θ = 38.19°, I 42.1
2.170 Å, 2θ = 41.62°, I 28.2
1.459 Å, 2θ = 63.78°, I 31.1
1.409 Å, 2θ = 66.36°, I 27.3

Crystal structure
```
7
Lattice="2.357 -11.008 0.000 2.357 11.008 0.000 0.000 0.000 3.516" Properties=species:S:1:pos:R:3 pbc="T T T"
Y 2.357 7.582 0.000
Y 2.357 -7.582 0.000
Mg 0.000 0.000 0.000
Mg 2.357 1.557 1.758
Mg 2.357 -1.557 1.758
In 2.357 4.632 1.758
In 2.357 -4.632 1.758
```

For RbGaB, a cell relaxed with GGA-PBE gives the theoretical powder XRD pattern in this record (Cu Kα).

Principal peaks in the range 10° ≤ 2θ ≤ 80°, sorted by position:
3.688 Å, 2θ = 24.13°, I 95.0
3.237 Å, 2θ = 27.56°, I 100.0
3.012 Å, 2θ = 29.66°, I 64.8
2.918 Å, 2θ = 30.63°, I 75.6
2.679 Å, 2θ = 33.45°, I 95.0
2.584 Å, 2θ = 34.71°, I 48.3
2.197 Å, 2θ = 41.09°, I 41.4
2.149 Å, 2θ = 42.05°, I 60.8
2.074 Å, 2θ = 43.64°, I 37.8
1.817 Å, 2θ = 50.22°, I 45.4

Crystal structure
```
6
Lattice="4.405 -1.591 0.000 4.405 1.591 0.000 -1.404 0.000 11.065" Properties=species:S:1:pos:R:3 pbc="T T T"
Rb 0.002 0.000 2.223
Rb 7.403 0.000 8.842
Ga 2.485 0.000 5.126
Ga 4.921 0.000 5.939
B 0.827 0.000 11.064
B 6.578 0.000 0.000
```

For Zr3Ga4Pd2, a cell relaxed with GGA-PBE gives the theoretical powder XRD pattern in this record (Cu Kα).

Principal peaks in the range 10° ≤ 2θ ≤ 80°, sorted by position:
2.426 Å, 2θ = 37.06°, I 18.4
2.418 Å, 2θ = 37.18°, I 38.5
2.403 Å, 2θ = 37.43°, I 54.2
2.228 Å, 2θ = 40.48°, I 100.0
1.641 Å, 2θ = 56.06°, I 10.8
1.632 Å, 2θ = 56.37°, I 11.1
1.544 Å, 2θ = 59.89°, I 9.9
1.324 Å, 2θ = 71.20°, I 10.3
1.314 Å, 2θ = 71.82°, I 9.9
1.287 Å, 2θ = 73.62°, I 16.7

Crystal structure
```
9
Lattice="4.918 -2.227 0.000 4.918 2.227 0.000 -4.098 0.000 7.277" Properties=species:S:1:pos:R:3 pbc="T T T"
Zr 0.000 0.000 0.000
Zr 1.991 0.000 2.377
Zr 3.747 0.000 4.900
Ga -0.897 0.000 2.987
Ga -1.010 0.000 6.997
Ga 6.748 0.000 0.280
Ga 6.635 0.000 4.290
Pd 0.853 0.000 5.250
Pd 4.885 0.000 2.027
```

For MgW, a cell relaxed with GGA-PBE gives the theoretical powder XRD pattern in this record (Cu Kα).

Principal peaks in the range 10° ≤ 2θ ≤ 80°, sorted by position:
2.496 Å, 2θ = 35.99°, I 30.5
2.481 Å, 2θ = 36.20°, I 22.9
2.408 Å, 2θ = 37.34°, I 45.6
2.222 Å, 2θ = 40.60°, I 100.0
1.989 Å, 2θ = 45.61°, I 31.3
1.760 Å, 2θ = 51.97°, I 16.4
1.433 Å, 2θ = 65.11°, I 16.7
1.382 Å, 2θ = 67.82°, I 21.4
1.242 Å, 2θ = 76.71°, I 20.5
1.204 Å, 2θ = 79.63°, I 14.1

Crystal structure
```
4
Lattice="2.865 0.000 0.000 -1.433 2.481 0.000 0.000 0.000 9.982" Properties=species:S:1:pos:R:3 pbc="T T T"
Mg 0.000 1.654 3.657
Mg 1.433 0.827 6.325
W 0.000 1.654 8.781
W 1.433 0.827 1.201
```

For MnV, a cell relaxed with GGA-PBE gives the theoretical powder XRD pattern in this record (Cu Kα).

Principal peaks in the range 10° ≤ 2θ ≤ 80°, sorted by position:
3.532 Å, 2θ = 25.21°, I 14.7
2.489 Å, 2θ = 36.09°, I 27.2
2.042 Å, 2θ = 44.36°, I 39.7
2.034 Å, 2θ = 44.55°, I 100.0
1.953 Å, 2θ = 46.50°, I 61.8
1.658 Å, 2θ = 55.41°, I 15.5
1.578 Å, 2θ = 58.48°, I 8.6
1.411 Å, 2θ = 66.25°, I 8.2
1.287 Å, 2θ = 73.58°, I 12.2
1.244 Å, 2θ = 76.57°, I 14.3

Crystal structure
```
16
Lattice="7.035 0.000 0.000 0.000 7.035 0.000 0.000 0.000 4.084" Properties=species:S:1:pos:R:3 pbc="T T T"
Mn 0.828 1.367 0.000
Mn 1.367 6.206 0.000
Mn 2.151 2.689 2.042
Mn 2.689 4.884 2.042
Mn 4.346 2.151 2.042
Mn 4.884 4.346 2.042
Mn 5.668 0.828 0.000
Mn 6.206 5.668 0.000
V 0.206 4.869 2.042
V 1.352 3.723 0.000
V 2.166 0.206 2.042
V 3.312 1.352 0.000
V 3.723 5.683 0.000
V 4.869 6.829 2.042
V 5.683 3.312 0.000
V 6.829 2.166 2.042
```

For Ti4HAu2, a cell relaxed with GGA-PBE gives the theoretical powder XRD pattern in this record (Cu Kα).

Principal peaks in the range 10° ≤ 2θ ≤ 80°, sorted by position:
3.741 Å, 2θ = 23.79°, I 76.7
3.613 Å, 2θ = 24.64°, I 34.4
3.018 Å, 2θ = 29.60°, I 69.6
2.738 Å, 2θ = 32.70°, I 64.9
2.561 Å, 2θ = 35.04°, I 36.0
2.182 Å, 2θ = 41.37°, I 100.0
1.936 Å, 2θ = 46.92°, I 51.1
1.822 Å, 2θ = 50.07°, I 38.8
1.630 Å, 2θ = 56.46°, I 24.8
1.327 Å, 2θ = 71.04°, I 27.9

Crystal structure
```
7
Lattice="-1.936 1.936 7.226 1.936 -1.936 7.226 1.936 1.936 -7.226" Properties=species:S:1:pos:R:3 pbc="T T T"
Ti 1.936 0.000 0.000
Ti 0.000 0.000 2.575
Ti 0.000 1.936 0.000
Ti 0.000 0.000 11.876
H 0.000 0.000 0.000
Au 0.000 0.000 5.194
Au 0.000 0.000 9.258
```

- Number 7 is which compound?
  Ti4HAu2

Please write out number 4 again, unchanged.
For Zr3Ga4Pd2, a cell relaxed with GGA-PBE gives the theoretical powder XRD pattern in this record (Cu Kα).

Principal peaks in the range 10° ≤ 2θ ≤ 80°, sorted by position:
2.426 Å, 2θ = 37.06°, I 18.4
2.418 Å, 2θ = 37.18°, I 38.5
2.403 Å, 2θ = 37.43°, I 54.2
2.228 Å, 2θ = 40.48°, I 100.0
1.641 Å, 2θ = 56.06°, I 10.8
1.632 Å, 2θ = 56.37°, I 11.1
1.544 Å, 2θ = 59.89°, I 9.9
1.324 Å, 2θ = 71.20°, I 10.3
1.314 Å, 2θ = 71.82°, I 9.9
1.287 Å, 2θ = 73.62°, I 16.7

Crystal structure
```
9
Lattice="4.918 -2.227 0.000 4.918 2.227 0.000 -4.098 0.000 7.277" Properties=species:S:1:pos:R:3 pbc="T T T"
Zr 0.000 0.000 0.000
Zr 1.991 0.000 2.377
Zr 3.747 0.000 4.900
Ga -0.897 0.000 2.987
Ga -1.010 0.000 6.997
Ga 6.748 0.000 0.280
Ga 6.635 0.000 4.290
Pd 0.853 0.000 5.250
Pd 4.885 0.000 2.027
```